Structure and simulated XRD peak list of Sn5BiTe7 (DFT lattice parameters and positions (PBE); CuKα).

Structure:
a = 26.608 Å, b = 4.426 Å, c = 14.753 Å
α = 90.00°, β = 90.00°, γ = 90.00°
Space group Amm2 (No. 38)
Unique sites:
Sn 0.103 0.000 0.000 [4 per cell]
Sn 0.174 0.000 0.271 [4 per cell]
Sn 0.250 0.000 0.544 [4 per cell]
Sn 0.325 0.000 0.817 [4 per cell]
Sn 0.397 0.000 0.088 [4 per cell]
Bi 0.000 0.000 0.749 [2 per cell]
Bi 0.500 0.000 0.339 [2 per cell]
Te 0.000 0.000 0.102 [2 per cell]
Te 0.071 0.000 0.358 [4 per cell]
Te 0.140 0.000 0.634 [4 per cell]
Te 0.212 0.000 0.908 [4 per cell]
Te 0.287 0.000 0.180 [4 per cell]
Te 0.360 0.000 0.455 [4 per cell]
Te 0.429 0.000 0.731 [4 per cell]
Te 0.500 0.000 0.987 [2 per cell]

Principal peaks in the range 10° ≤ 2θ ≤ 90°, by angle:
2θ (°)  I/Imax  h k l
26.38  73.7  7 0 2
27.94  97.2  2 1 3
28.95  100.0  3 1 3
37.07  42.2  9 1 1
39.10  38.9  4 1 5
40.01  33.4  10 1 1
40.44  66.0  5 0 6
40.76  46.7  0 2 0
49.21  26.7  7 2 2
67.06  24.2  3 3 3